This entry pairs a crystal structure of VPO5 with its computed powder X-ray diffraction pattern. Radiation: a wavelength of 1.5418 Å. Structure: the PBE+U geometry in Alexandria.
Lines closer than 0.1° are merged.

Structural model:
Cell: 7.295 7.177 7.822 Å, 90.00 121.52 90.00°
Element x y z (fractional)
V (0.249, 0.231, 0.043)
V (0.249, 0.269, 0.543)
V (0.751, 0.731, 0.457)
V (0.751, 0.769, 0.957)
P (0.249, 0.616, 0.254)
P (0.249, 0.884, 0.754)
P (0.751, 0.116, 0.246)
P (0.751, 0.384, 0.746)
O (0.053, 0.746, 0.152)
O (0.053, 0.754, 0.652)
O (0.243, 0.001, 0.916)
O (0.243, 0.499, 0.416)
O (0.247, 0.154, 0.236)
O (0.247, 0.346, 0.736)
O (0.254, 0.011, 0.595)
O (0.254, 0.489, 0.095)
O (0.449, 0.743, 0.353)
O (0.449, 0.757, 0.853)
O (0.551, 0.243, 0.147)
O (0.551, 0.257, 0.647)
O (0.746, 0.511, 0.905)
O (0.746, 0.989, 0.405)
O (0.753, 0.654, 0.264)
O (0.753, 0.846, 0.764)
O (0.757, 0.501, 0.584)
O (0.757, 0.999, 0.084)
O (0.947, 0.246, 0.348)
O (0.947, 0.254, 0.848)

Principal peaks in the range 2θ = 10–90°, in order of rising 2θ:
d/Å  intensity
4.848  32.6
4.700  34.1
3.588  21.0
3.434  100.0
3.279  11.9
3.159  29.5
3.109  59.1
2.555  13.5
1.992  13.2
1.555  12.3